Computed X-ray powder pattern of PmPr7Ho4 for Cu Kα (weighted mean of Kα1 and Kα2), from a DFT-relaxed cell (GGA-PBE, Alexandria).
Lines closer than 0.1° are merged.

Crystal structure
a = 6.3733 Å, b = 7.3495 Å, c = 9.0583 Å
α = 89.97°, β = 76.48°, γ = 89.96°
Atoms (fractional coordinates):
Pm  0.0000  0.0000  0.0000
Pr  0.0000  0.5000  0.0000
Pr  0.2223  0.0003  0.3345
Pr  0.2807  0.2517  0.6644
Pr  0.5003  0.2536  0.0027
Pr  0.4997  0.7464  0.9973
Pr  0.7193  0.7483  0.3356
Pr  0.7777  0.9997  0.6655
Ho  0.2186  0.5000  0.3361
Ho  0.2775  0.7451  0.6663
Ho  0.7225  0.2549  0.3337
Ho  0.7814  0.5000  0.6639

Largest 10 diffraction maxima, by angle, 2θ = 5–70°:
28.23 deg, d 3.162, I = 36
28.84 deg, d 3.096, I = 18
30.45 deg, d 2.936, I = 51
31.18 deg, d 2.869, I = 100
32.84 deg, d 2.728, I = 90
49.58 deg, d 1.839, I = 39
53.48 deg, d 1.713, I = 21
56.70 deg, d 1.624, I = 20
59.31 deg, d 1.558, I = 46
59.74 deg, d 1.548, I = 16

Computed X-ray powder pattern of La2NdEu for Cu Kα (weighted mean of Kα1 and Kα2), from a DFT-relaxed cell (GGA-PBE, Alexandria).
Lines closer than 0.1° are merged.

Crystal structure
a = 5.3241 Å, b = 5.3241 Å, c = 5.2209 Å
α = 90.00°, β = 90.00°, γ = 90.00°
Atoms (fractional coordinates):
La  0.0000  0.5000  0.0000
La  0.5000  0.0000  0.0000
Nd  0.0000  0.0000  0.5000
Eu  0.5000  0.5000  0.5000

Largest 8 diffraction maxima, by angle, 2θ = 5–70°:
29.25 deg, d 3.054, I = 100
33.67 deg, d 2.662, I = 35
34.35 deg, d 2.610, I = 16
48.35 deg, d 1.882, I = 12
48.86 deg, d 1.864, I = 24
57.52 deg, d 1.602, I = 30
58.42 deg, d 1.580, I = 14
60.65 deg, d 1.527, I = 13

Computed X-ray powder pattern of La10Tb4Sm for Cu Kα (weighted mean of Kα1 and Kα2), from a DFT-relaxed cell (GGA-PBE, Alexandria).
Lines closer than 0.1° are merged.

Crystal structure
a = 9.1284 Å, b = 9.1284 Å, c = 9.1284 Å
α = 100.96°, β = 100.96°, γ = 128.30°
Atoms (fractional coordinates):
La  0.0080  0.7906  0.2174
La  0.2094  0.4269  0.2174
La  0.2094  0.9920  0.7826
La  0.2500  0.7500  0.5000
La  0.4269  0.2094  0.2174
La  0.5731  0.7906  0.7826
La  0.7500  0.2500  0.5000
La  0.7906  0.0080  0.2174
La  0.7906  0.5731  0.7826
La  0.9920  0.2094  0.7826
Tb  0.2715  0.2715  0.5429
Tb  0.2715  0.7285  0.0000
Tb  0.7285  0.2715  0.0000
Tb  0.7285  0.7285  0.4571
Sm  0.5000  0.5000  0.0000

Largest 10 diffraction maxima, by angle, 2θ = 5–70°:
27.16 deg, d 3.283, I = 46
29.92 deg, d 2.987, I = 43
30.79 deg, d 2.904, I = 100
31.29 deg, d 2.858, I = 96
33.19 deg, d 2.700, I = 30
39.96 deg, d 2.256, I = 32
44.10 deg, d 2.054, I = 28
56.00 deg, d 1.642, I = 31
65.35 deg, d 1.428, I = 28
65.53 deg, d 1.424, I = 24

Computed X-ray powder pattern of Ho2Se3O9 for Cu Kα (weighted mean of Kα1 and Kα2), from a DFT-relaxed cell (GGA-PBE, Alexandria).
Lines closer than 0.1° are merged.

Crystal structure
a = 7.0788 Å, b = 8.1498 Å, c = 9.0870 Å
α = 71.28°, β = 69.90°, γ = 66.07°
Atoms (fractional coordinates):
Ho  0.1638  0.2745  0.4098
Ho  0.2417  0.7367  0.7972
Ho  0.7583  0.2633  0.2028
Ho  0.8362  0.7255  0.5902
Se  0.0738  0.2242  0.8017
Se  0.3515  0.2523  0.0353
Se  0.3870  0.7633  0.4141
Se  0.6130  0.2367  0.5859
Se  0.6485  0.7477  0.9647
Se  0.9262  0.7758  0.1983
O  0.0168  0.5946  0.3518
O  0.0903  0.2917  0.1514
O  0.1382  0.0562  0.6961
O  0.1486  0.7914  0.0497
O  0.1571  0.7465  0.5636
O  0.3332  0.4352  0.8787
O  0.3374  0.9914  0.3465
O  0.4321  0.3082  0.1681
O  0.4674  0.2887  0.4454
O  0.5326  0.7113  0.5546
O  0.5679  0.6918  0.8319
O  0.6626  0.0086  0.6535
O  0.6668  0.5648  0.1213
O  0.8429  0.2535  0.4364
O  0.8514  0.2086  0.9503
O  0.8618  0.9438  0.3039
O  0.9097  0.7083  0.8486
O  0.9832  0.4054  0.6482

Largest 10 diffraction maxima, by angle, 2θ = 5–70°:
14.36 deg, d 6.169, I = 25
24.46 deg, d 3.640, I = 100
25.20 deg, d 3.534, I = 81
28.48 deg, d 3.134, I = 30
31.15 deg, d 2.871, I = 22
31.83 deg, d 2.811, I = 25
32.42 deg, d 2.762, I = 28
35.79 deg, d 2.509, I = 22
47.53 deg, d 1.913, I = 19
50.08 deg, d 1.821, I = 23